No. 1
For Na5AuI4, a structure optimized by DFT (PBE) gives the simulated XRD peak list in this record (Cu Kα, 1.54184 Å).

Cell lengths 16.440, 16.440, 16.440 Å; angles 164.07, 164.07, 22.60 degrees
Atoms (fractional coordinates):
Na  0.000  0.000  0.000
Na  0.200  0.200  0.000
Na  0.404  0.404  0.000
Na  0.596  0.596  0.000
Na  0.800  0.800  0.000
Au  0.500  0.500  0.000
I  0.098  0.098  0.000
I  0.301  0.301  0.000
I  0.699  0.699  0.000
I  0.902  0.902  0.000

Peak list (10 most intense, 2θ = 10–90°, most intense first)
Position (°2θ)  d (Å)  I (rel.)
27.68  3.222  100
23.92  3.721  94
39.55  2.279  76
46.75  1.943  47
64.68  1.441  35
48.96  1.861  28
71.75  1.316  25
62.85  1.479  20
76.86  1.240  15
57.17  1.611  13

No. 2
For Na2AuIO4, a structure optimized by DFT (PBE) gives the simulated XRD peak list in this record (Cu Kα, 1.54184 Å).

Cell lengths 5.560, 5.560, 5.560 Å; angles 111.42, 111.42, 105.65 degrees
Atoms (fractional coordinates):
Na  0.000  0.000  0.000
Na  0.750  0.250  0.500
Au  0.500  0.500  0.000
I  0.250  0.750  0.500
O  0.232  0.727  0.844
O  0.273  0.117  0.504
O  0.612  0.768  0.496
O  0.883  0.388  0.156

Peak list (10 most intense, 2θ = 10–90°, most intense first)
Position (°2θ)  d (Å)  I (rel.)
19.37  4.582  100
33.48  2.677  80
28.50  3.132  52
53.71  1.706  49
34.69  2.586  45
40.74  2.215  27
62.74  1.481  22
54.58  1.681  19
52.30  1.749  15
66.78  1.401  12

No. 3
For NaTl2Au2I6, a structure optimized by DFT (PBE) gives the simulated XRD peak list in this record (Cu Kα, 1.54184 Å).

Cell lengths 8.678, 8.678, 8.799 Å; angles 117.57, 117.57, 53.31 degrees
Atoms (fractional coordinates):
Na  0.000  0.000  0.000
Tl  0.248  0.248  0.727
Tl  0.752  0.752  0.273
Au  0.448  0.448  0.289
Au  0.552  0.552  0.711
I  0.163  0.681  0.667
I  0.248  0.248  0.130
I  0.319  0.837  0.333
I  0.681  0.163  0.667
I  0.752  0.752  0.870
I  0.837  0.319  0.333

Peak list (10 most intense, 2θ = 10–90°, most intense first)
Position (°2θ)  d (Å)  I (rel.)
32.67  2.741  100
20.67  4.297  90
23.64  3.763  80
23.88  3.726  67
13.18  6.715  62
35.56  2.525  55
40.78  2.212  55
26.07  3.418  51
30.69  2.913  51
26.55  3.357  45

No. 4
For Nd4Au2I5, a structure optimized by DFT (PBE) gives the simulated XRD peak list in this record (Cu Kα, 1.54184 Å).

Cell lengths 15.401, 15.401, 15.401 Å; angles 164.69, 146.35, 37.16 degrees
Atoms (fractional coordinates):
Nd  0.145  0.145  0.000
Nd  0.201  0.500  0.701
Nd  0.799  0.500  0.299
Nd  0.855  0.855  0.000
Au  0.048  0.048  0.000
Au  0.952  0.952  0.000
I  0.070  0.325  0.745
I  0.420  0.675  0.745
I  0.500  0.000  0.500
I  0.580  0.325  0.255
I  0.930  0.675  0.255

Peak list (10 most intense, 2θ = 10–90°, most intense first)
Position (°2θ)  d (Å)  I (rel.)
10.37  8.527  100
29.75  3.003  88
18.23  4.866  56
40.47  2.229  37
39.19  2.298  25
33.41  2.682  24
36.78  2.444  22
20.84  4.263  15
44.14  2.052  15
37.36  2.407  13